(1)
# LiHfAlRh
Computed PXRD pattern, Cu Kα (λ = 1.5418 Å). Input: a PBE-relaxed structure.

The 8 most intense peaks (2θ from 15° to 90°), by angle:
index  2θ/deg  Rel. int.
1 1 1  24.5  817
2 2 0  40.6  1000
3 1 1  48.0  408
4 0 0  58.8  168
3 3 1  64.7  167
4 2 2  73.9  341
5 1 1  79.2  126
4 4 0  87.9  111

Crystal structure
```
data_LiHfAlRh
_chemical_formula_sum 'Li4 Hf4 Al4 Rh4'
_space_group_name_H-M_alt 'F -4 3 m'
_space_group_IT_number 216
_space_group_name_Hall 'F -4 2 3'
_cell_length_a 6.283
_cell_length_b 6.283
_cell_length_c 6.283
_cell_angle_alpha 90.00
_cell_angle_beta 90.00
_cell_angle_gamma 90.00
loop_
_atom_site_label
_atom_site_type_symbol
_atom_site_fract_x
_atom_site_fract_y
_atom_site_fract_z
Li1 Li 0.000 0.000 0.000
Hf1 Hf 0.250 0.250 0.750
Al1 Al 0.250 0.250 0.250
Rh1 Rh 0.000 0.000 0.500
```

(2)
# HfMn8Al3
Computed PXRD pattern, Cu Kα (λ = 1.5418 Å). Input: a PBE-relaxed structure.

The 8 most intense peaks (2θ from 15° to 90°), by angle:
index  2θ/deg  Rel. int.
1 0 0  21.7  339
1 0 1  24.5  600
1 0 2  31.6  359
1 1 0  38.0  324
0 1 3  41.0  843
1 1 2  44.7  1000
2 0 1  45.8  893
0 2 5  76.5  337

Crystal structure
```
data_HfMn8Al3
_chemical_formula_sum 'Hf1 Mn8 Al3'
_space_group_name_H-M_alt 'P 3 m 1'
_space_group_IT_number 156
_space_group_name_Hall 'P 3 -2"'
_cell_length_a 4.7303
_cell_length_b 4.7303
_cell_length_c 7.8423
_cell_angle_alpha 90.00
_cell_angle_beta 90.00
_cell_angle_gamma 120.00
loop_
_atom_site_label
_atom_site_type_symbol
_atom_site_fract_x
_atom_site_fract_y
_atom_site_fract_z
Hf1 Hf 0.0000 0.0000 0.0000
Mn1 Mn 0.1592 0.3184 0.6794
Mn2 Mn 0.3333 0.6667 0.4315
Mn3 Mn 0.3333 0.6667 0.9304
Mn4 Mn 0.5080 0.0160 0.1902
Al1 Al 0.0000 0.0000 0.3731
Al2 Al 0.6667 0.3333 0.4993
Al3 Al 0.6667 0.3333 0.8627
```

(3)
# HfMn5Al7
Computed PXRD pattern, Cu Kα (λ = 1.5418 Å). Input: a PBE-relaxed structure.

The 8 most intense peaks (2θ from 15° to 90°), by angle:
index  2θ/deg  Rel. int.
1 0 1  20.8  210
0 2 2  29.4  520
1 1 2  29.5  346
1 3 0  36.2  170
1 0 3  36.3  196
0 4 0  41.9  260
0 0 4  42.1  1000
2 2 0  42.3  700

Crystal structure
```
data_HfMn5Al7
_chemical_formula_sum 'Hf2 Mn10 Al14'
_space_group_name_H-M_alt 'I m m 2'
_space_group_IT_number 44
_space_group_name_Hall 'I 2 -2'
_cell_length_a 4.916
_cell_length_b 8.629
_cell_length_c 8.583
_cell_angle_alpha 90.00
_cell_angle_beta 90.00
_cell_angle_gamma 90.00
loop_
_atom_site_label
_atom_site_type_symbol
_atom_site_fract_x
_atom_site_fract_y
_atom_site_fract_z
Hf1 Hf 0.000 0.000 0.000
Mn1 Mn 0.000 0.500 0.276
Mn2 Mn 0.241 0.251 0.759
Al1 Al 0.000 0.000 0.344
Al2 Al 0.000 0.000 0.667
Al3 Al 0.000 0.297 0.501
Al4 Al 0.000 0.340 0.016
Al5 Al 0.000 0.500 0.728
```

(4)
# Hf3AlMo8
Computed PXRD pattern, Cu Kα (λ = 1.5418 Å). Input: a PBE-relaxed structure.

The 8 most intense peaks (2θ from 15° to 90°), by angle:
index  2θ/deg  Rel. int.
1 1 0  33.7  386
1 0 10  39.7  1000
0 2 4  41.6  295
3 0 0  60.2  147
2 1 10  64.3  316
2 2 0  70.8  254
1 3 10  84.4  114
2 0 20  85.6  110

Crystal structure
```
data_Hf3AlMo8
_chemical_formula_sum 'Hf9 Al3 Mo24'
_space_group_name_H-M_alt 'R 3 m'
_space_group_IT_number 160
_space_group_name_Hall 'R 3 -2"'
_cell_length_a 5.3217
_cell_length_b 5.3217
_cell_length_c 26.0644
_cell_angle_alpha 90.00
_cell_angle_beta 90.00
_cell_angle_gamma 120.00
loop_
_atom_site_label
_atom_site_type_symbol
_atom_site_fract_x
_atom_site_fract_y
_atom_site_fract_z
Hf1 Hf 0.0000 0.0000 0.0000
Hf2 Hf 0.0000 0.0000 0.1258
Hf3 Hf 0.0000 0.0000 0.6240
Al1 Al 0.0000 0.0000 0.5000
Mo1 Mo 0.0000 0.0000 0.3132
Mo2 Mo 0.0000 0.0000 0.8121
Mo3 Mo 0.0013 0.5006 0.0636
Mo4 Mo 0.1670 0.3341 0.8951
```

(5)
# Hf2Al2Mo
Computed PXRD pattern, Cu Kα (λ = 1.5418 Å). Input: a PBE-relaxed structure.

The 8 most intense peaks (2θ from 15° to 90°), by angle:
index  2θ/deg  Rel. int.
2 1 0  28.6  543
1 1 1  29.9  220
2 0 1  35.1  659
2 1 1  37.5  1000
3 1 0  40.9  366
4 1 0  54.1  184
4 1 1  59.9  281
3 3 1  61.5  233

Crystal structure
```
data_Hf2Al2Mo
_chemical_formula_sum 'Hf4 Al4 Mo2'
_space_group_name_H-M_alt 'P 4/m b m'
_space_group_IT_number 127
_space_group_name_Hall '-P 4 2ab'
_cell_length_a 6.984
_cell_length_b 6.984
_cell_length_c 3.750
_cell_angle_alpha 90.00
_cell_angle_beta 90.00
_cell_angle_gamma 90.00
loop_
_atom_site_label
_atom_site_type_symbol
_atom_site_fract_x
_atom_site_fract_y
_atom_site_fract_z
Hf1 Hf 0.176 0.324 0.000
Al1 Al 0.128 0.628 0.500
Mo1 Mo 0.000 0.000 0.500
```

(6)
# Hf2Al4Mo3
Computed PXRD pattern, Cu Kα (λ = 1.5418 Å). Input: a PBE-relaxed structure.

The 8 most intense peaks (2θ from 15° to 90°), by angle:
index  2θ/deg  Rel. int.
1 1 3  28.3  570
0 2 4  33.5  443
0 4 0  39.1  253
2 2 0  39.7  1000
1 3 3  39.8  577
2 2 2  42.1  261
2 0 4  44.4  250
2 2 8  70.8  243

Crystal structure
```
data_Hf2Al4Mo3
_chemical_formula_sum 'Hf8 Al16 Mo12'
_space_group_name_H-M_alt 'F m m m'
_space_group_IT_number 69
_space_group_name_Hall '-F 2 2'
_cell_length_a 5.219
_cell_length_b 9.221
_cell_length_c 13.128
_cell_angle_alpha 90.00
_cell_angle_beta 90.00
_cell_angle_gamma 90.00
loop_
_atom_site_label
_atom_site_type_symbol
_atom_site_fract_x
_atom_site_fract_y
_atom_site_fract_z
Hf1 Hf 0.000 0.000 0.124
Al1 Al 0.000 0.159 0.325
Mo1 Mo 0.000 0.000 0.500
Mo2 Mo 0.250 0.250 0.000
```

(7)
# Hf6AlMo
Computed PXRD pattern, Cu Kα (λ = 1.5418 Å). Input: a PBE-relaxed structure.

The 8 most intense peaks (2θ from 15° to 90°), by angle:
index  2θ/deg  Rel. int.
1 1 2  29.9  133
1 1 4  36.0  1000
2 0 0  39.4  411
0 0 8  46.4  105
2 2 0  57.0  141
2 0 8  62.5  173
3 1 4  69.3  299
2 2 8  76.4  97

Crystal structure
```
data_Hf6AlMo
_chemical_formula_sum 'Hf12 Al2 Mo2'
_space_group_name_H-M_alt 'I 4/m m m'
_space_group_IT_number 139
_space_group_name_Hall '-I 4 2'
_cell_length_a 4.569
_cell_length_b 4.569
_cell_length_c 15.664
_cell_angle_alpha 90.00
_cell_angle_beta 90.00
_cell_angle_gamma 90.00
loop_
_atom_site_label
_atom_site_type_symbol
_atom_site_fract_x
_atom_site_fract_y
_atom_site_fract_z
Hf1 Hf 0.000 0.000 0.249
Hf2 Hf 0.000 0.500 0.113
Al1 Al 0.000 0.000 0.500
Mo1 Mo 0.000 0.000 0.000
```

(8)
# Hf3Al2N
Computed PXRD pattern, Cu Kα (λ = 1.5418 Å). Input: a PBE-relaxed structure.

The 8 most intense peaks (2θ from 15° to 90°), by angle:
index  2θ/deg  Rel. int.
1 1 0  17.1  234
1 1 1  21.0  201
2 1 0  27.3  275
2 2 1  36.9  1000
3 1 0  38.9  589
3 1 1  40.9  193
4 3 1  65.0  198
5 2 0  69.1  209

Crystal structure
```
data_Hf3Al2N
_chemical_formula_sum 'Hf12 Al8 N4'
_space_group_name_H-M_alt 'P 41 3 2'
_space_group_IT_number 213
_space_group_name_Hall 'P 4bd 2ab 3'
_cell_length_a 7.317
_cell_length_b 7.317
_cell_length_c 7.317
_cell_angle_alpha 90.00
_cell_angle_beta 90.00
_cell_angle_gamma 90.00
loop_
_atom_site_label
_atom_site_type_symbol
_atom_site_fract_x
_atom_site_fract_y
_atom_site_fract_z
Hf1 Hf 0.043 0.125 0.793
Al1 Al 0.071 0.929 0.429
N1 N 0.125 0.375 0.625
```

(9)
# Hf3AlN2
Computed PXRD pattern, Cu Kα (λ = 1.5418 Å). Input: a PBE-relaxed structure.

The 8 most intense peaks (2θ from 15° to 90°), by angle:
index  2θ/deg  Rel. int.
1 0 0  17.1  509
0 0 2  29.6  479
2 0 0  34.7  1000
2 0 2  46.2  987
2 2 0  62.1  209
2 2 2  70.3  251
2 0 4  72.6  241
4 0 2  80.8  191

Crystal structure
```
data_Hf3AlN2
_chemical_formula_sum 'Hf6 Al2 N4'
_space_group_name_H-M_alt 'P 63/m c m'
_space_group_IT_number 193
_space_group_name_Hall '-P 6c 2'
_cell_length_a 5.9766
_cell_length_b 5.9766
_cell_length_c 6.0316
_cell_angle_alpha 90.00
_cell_angle_beta 90.00
_cell_angle_gamma 120.00
loop_
_atom_site_label
_atom_site_type_symbol
_atom_site_fract_x
_atom_site_fract_y
_atom_site_fract_z
Hf1 Hf 0.0000 0.4920 0.2500
Al1 Al 0.0000 0.0000 0.2500
N1 N 0.3333 0.6667 0.0000
```

(10)
# Hf5AlN
Computed PXRD pattern, Cu Kα (λ = 1.5418 Å). Input: a PBE-relaxed structure.

The 8 most intense peaks (2θ from 15° to 90°), by angle:
index  2θ/deg  Rel. int.
2 0 2  32.5  691
2 2 -1  35.3  999
2 2 0  35.9  486
4 0 -2  36.6  1000
3 1 1  37.2  868
2 2 -2  37.7  636
2 0 -4  38.0  845
1 1 3  38.2  556

Crystal structure
```
data_Hf5AlN
_chemical_formula_sum 'Hf20 Al4 N4'
_space_group_name_H-M_alt 'C 1 2/c 1'
_space_group_IT_number 15
_space_group_name_Hall '-C 2yc'
_cell_length_a 9.972
_cell_length_b 5.939
_cell_length_c 9.540
_cell_angle_alpha 90.00
_cell_angle_beta 111.27
_cell_angle_gamma 90.00
loop_
_atom_site_label
_atom_site_type_symbol
_atom_site_fract_x
_atom_site_fract_y
_atom_site_fract_z
Hf1 Hf 0.000 0.037 0.250
Hf2 Hf 0.120 0.311 0.041
Hf3 Hf 0.198 0.193 0.629
Al1 Al 0.000 0.476 0.750
N1 N 0.000 0.000 0.000
```

(11)
# Hf6AlN2
Computed PXRD pattern, Cu Kα (λ = 1.5418 Å). Input: a PBE-relaxed structure.

The 8 most intense peaks (2θ from 15° to 90°), by angle:
index  2θ/deg  Rel. int.
1 1 -2  30.9  1000
4 0 -2  34.0  246
3 1 -2  34.6  255
3 1 0  34.7  956
2 0 2  39.0  368
0 2 0  41.2  392
2 2 2  58.0  231
3 3 0  70.9  148

Crystal structure
```
data_Hf6AlN2
_chemical_formula_sum 'Hf12 Al2 N4'
_space_group_name_H-M_alt 'C 1 2/m 1'
_space_group_IT_number 12
_space_group_name_Hall '-C 2y'
_cell_length_a 10.889
_cell_length_b 4.384
_cell_length_c 7.757
_cell_angle_alpha 90.00
_cell_angle_beta 118.31
_cell_angle_gamma 90.00
loop_
_atom_site_label
_atom_site_type_symbol
_atom_site_fract_x
_atom_site_fract_y
_atom_site_fract_z
Hf1 Hf 0.026 0.000 0.191
Hf2 Hf 0.166 0.500 0.567
Hf3 Hf 0.194 0.500 0.083
Al1 Al 0.000 0.000 0.500
N1 N 0.184 0.000 0.083
```

(12)
# HfAl3Ni12
Computed PXRD pattern, Cu Kα (λ = 1.5418 Å). Input: a PBE-relaxed structure.

The 8 most intense peaks (2θ from 15° to 90°), by angle:
index  2θ/deg  Rel. int.
1 0 1  25.4  90
1 0 2  27.6  71
1 1 4  43.5  1000
2 0 0  50.4  324
0 0 8  51.1  144
2 2 0  74.0  96
2 0 8  74.6  175
3 1 4  89.9  228

Crystal structure
```
data_HfAl3Ni12
_chemical_formula_sum 'Hf1 Al3 Ni12'
_space_group_name_H-M_alt 'P 4/m m m'
_space_group_IT_number 123
_space_group_name_Hall '-P 4 2'
_cell_length_a 3.623
_cell_length_b 3.623
_cell_length_c 14.293
_cell_angle_alpha 90.00
_cell_angle_beta 90.00
_cell_angle_gamma 90.00
loop_
_atom_site_label
_atom_site_type_symbol
_atom_site_fract_x
_atom_site_fract_y
_atom_site_fract_z
Hf1 Hf 0.000 0.000 0.000
Al1 Al 0.000 0.000 0.256
Al2 Al 0.000 0.000 0.500
Ni1 Ni 0.000 0.500 0.134
Ni2 Ni 0.000 0.500 0.377
Ni3 Ni 0.500 0.500 0.000
Ni4 Ni 0.500 0.500 0.256
Ni5 Ni 0.500 0.500 0.500
```